[1]
# La4Nd2Er3
Calculated PXRD pattern, Cu Kα (weighted mean of Kα1 and Kα2). Input: a structure optimized by DFT (GGA-PBE).
Lines closer than 0.1° are merged.

Largest 10 diffraction maxima, sorted by position, 2θ = 10–80°:
| index | two_theta | d (Å) | I (rel.) |
| --- | --- | --- | --- |
| 1 0 0 | 28.32 | 3.152 | 463 |
| 0 0 9 | 29.34 | 3.044 | 490 |
| 1 0 4 | 31.24 | 2.863 | 651 |
| 0 1 5 | 32.78 | 2.732 | 1000 |
| 0 1 6 | 34.58 | 2.594 | 126 |
| 0 1 9 | 41.23 | 2.190 | 297 |
| 1 1 0 | 50.13 | 1.820 | 374 |
| 1 0 14 | 55.25 | 1.663 | 296 |
| 1 1 9 | 59.15 | 1.562 | 406 |
| 2 0 5 | 61.19 | 1.515 | 175 |

Crystal structure
Cell lengths 3.639, 3.639, 27.398 Å; angles 90.00, 90.00, 120.00 degrees
Fractional coordinates of all 9 atoms:
La1 0.000 0.000 0.000
La2 0.000 0.000 0.211
La3 0.333 0.667 0.330
La4 0.333 0.667 0.543
Nd1 0.000 0.000 0.659
Nd2 0.000 0.000 0.867
Er1 0.000 0.000 0.436
Er2 0.333 0.667 0.105
Er3 0.333 0.667 0.764

***

[2]
# Pu3ScHg12
Calculated PXRD pattern, Cu Kα (weighted mean of Kα1 and Kα2). Input: a structure optimized by DFT (GGA-PBE).
Lines closer than 0.1° are merged.

Largest 10 diffraction maxima, sorted by position, 2θ = 10–80°:
| index | two_theta | d (Å) | I (rel.) |
| --- | --- | --- | --- |
| 1 1 4 | 33.40 | 2.683 | 1000 |
| 0 2 0 | 38.27 | 2.352 | 179 |
| 0 0 8 | 38.69 | 2.327 | 154 |
| 2 0 0 | 39.31 | 2.292 | 167 |
| 0 2 8 | 55.56 | 1.654 | 110 |
| 2 2 0 | 56.03 | 1.641 | 121 |
| 1 3 4 | 66.11 | 1.413 | 148 |
| 1 1 12 | 66.68 | 1.403 | 110 |
| 3 1 4 | 67.53 | 1.387 | 135 |
| 2 2 8 | 70.17 | 1.341 | 111 |

Crystal structure
Cell lengths 4.584, 4.703, 18.617 Å; angles 90.00, 90.00, 90.00 degrees
Fractional coordinates of all 16 atoms:
Pu1 0.000 0.000 0.000
Pu2 0.000 0.000 0.257
Pu3 0.000 0.000 0.743
Sc1 0.000 0.000 0.500
Hg1 0.000 0.500 0.129
Hg2 0.000 0.500 0.384
Hg3 0.000 0.500 0.616
Hg4 0.000 0.500 0.871
Hg5 0.500 0.000 0.129
Hg6 0.500 0.000 0.385
Hg7 0.500 0.000 0.615
Hg8 0.500 0.000 0.871
Hg9 0.500 0.500 0.000
Hg10 0.500 0.500 0.260
Hg11 0.500 0.500 0.500
Hg12 0.500 0.500 0.740